[1]
The following is a computed XRD peak list of Pr3ErMg8. It was derived from a crystal structure in Alexandria, relaxed with PBE, using Cu Kα (weighted mean of Kα1 and Kα2).

Cell and atoms:
```
data_Pr3ErMg8
_cell_length_a 10.5839
_cell_length_b 10.5839
_cell_length_c 10.5839
_cell_angle_alpha 33.65
_cell_angle_beta 33.65
_cell_angle_gamma 33.65
_space_group_name_H-M_alt 'P 1'
_space_group_IT_number 1
_space_group_name_Hall 'P 1'
loop_
_atom_site_label
_atom_site_type_symbol
_atom_site_fract_x
_atom_site_fract_y
_atom_site_fract_z
Pr1 Pr 0.0000 0.0000 0.0000
Pr2 Pr 0.1254 0.1254 0.1254
Pr3 Pr 0.6241 0.6241 0.6241
Er1 Er 0.4998 0.4998 0.4998
Mg1 Mg 0.0619 0.0619 0.5606
Mg2 Mg 0.0619 0.5606 0.0619
Mg3 Mg 0.0650 0.5624 0.5624
Mg4 Mg 0.3125 0.3125 0.3125
Mg5 Mg 0.5606 0.0619 0.0619
Mg6 Mg 0.5624 0.0650 0.5624
Mg7 Mg 0.5624 0.5624 0.0650
Mg8 Mg 0.8123 0.8123 0.8123
```

Largest 8 diffraction maxima, in order of rising 2θ, 10 to 90 degrees two-theta:
two_theta	I (rel.)
17.75	60.7
29.18	98.7
34.36	100.0
45.66	12.6
51.71	30.2
55.13	32.0
68.57	17.2
86.26	12.4



[2]
The following is a computed XRD peak list of PrEr2Mg. It was derived from a crystal structure in Alexandria, relaxed with PBE, using Cu Kα (weighted mean of Kα1 and Kα2).

Cell and atoms:
```
data_PrEr2Mg
_cell_length_a 3.6790
_cell_length_b 3.6790
_cell_length_c 8.9183
_cell_angle_alpha 90.00
_cell_angle_beta 90.00
_cell_angle_gamma 90.00
_space_group_name_H-M_alt 'P 1'
_space_group_IT_number 1
_space_group_name_Hall 'P 1'
loop_
_atom_site_label
_atom_site_type_symbol
_atom_site_fract_x
_atom_site_fract_y
_atom_site_fract_z
Pr1 Pr 0.0000 0.0000 0.0000
Er1 Er 0.5000 0.5000 0.2802
Er2 Er 0.5000 0.5000 0.7198
Mg1 Mg 0.0000 0.0000 0.5000
```

Largest 8 diffraction maxima, in order of rising 2θ, 10 to 90 degrees two-theta:
two_theta	I (rel.)
26.20	22.6
31.53	100.0
34.48	43.4
46.38	13.3
49.55	15.6
54.18	16.0
57.41	12.1
59.93	32.1